No. 1
For NdAg2Br5, a cell relaxed with PBE gives the theoretical powder diffractogram in this record (Cu Kα X-rays).
Intensities are scaled so that the largest is 1000.

Top 10 peaks for 2θ = 10–90°, by intensity:
index	Position (°2θ)	I/Imax
1 1 1	17.69	1000
0 1 2	28.09	992
-1 1 1	30.52	583
1 0 2	24.94	562
1 0 1	17.48	528
0 2 -2	35.57	450
1 -1 0	24.86	432
2 2 0	35.37	414
0 0 1	12.38	402
0 2 2	35.94	366

Cell and atoms:
```
data_NdAg2Br5
_chemical_formula_sum 'Nd1 Ag2 Br5'
_cell_length_a 5.8722
_cell_length_b 7.6007
_cell_length_c 7.6896
_cell_angle_alpha 82.68
_cell_angle_beta 68.45
_cell_angle_gamma 68.21
_space_group_name_H-M_alt 'P 1'
_space_group_IT_number 1
loop_
_space_group_symop_operation_xyz
'x,y,z'
loop_
_atom_site_label
_atom_site_type_symbol
_atom_site_fract_x
_atom_site_fract_y
_atom_site_fract_z
Nd1 Nd 0.0000 0.0000 0.0000
Ag1 Ag 0.4811 0.0025 0.4981
Ag2 Ag 0.4925 0.4723 0.0585
Br1 Br 0.0156 0.6689 0.2369
Br2 Br 0.2611 0.7690 0.6658
Br3 Br 0.4839 0.0082 0.0164
Br4 Br 0.7026 0.2402 0.3429
Br5 Br 0.9322 0.3460 0.7877
```

---

No. 2
For SrAgSb2Mo, a cell relaxed with PBE gives the theoretical powder diffractogram in this record (Cu Kα X-rays).
Intensities are scaled so that the largest is 1000.

Top 10 peaks for 2θ = 10–90°, by intensity:
index	Position (°2θ)	I/Imax
1 1 1	26.82	1000
2 0 0	30.31	803
2 0 2	45.05	528
0 0 2	32.53	332
3 1 1	51.75	313
2 2 0	43.39	295
2 2 2	55.26	283
4 2 2	80.81	187
1 0 0	15.02	154
1 1 3	54.64	132

Cell and atoms:
```
data_SrAgSb2Mo
_chemical_formula_sum 'Sr1 Ag1 Sb2 Mo1'
_cell_length_a 5.8981
_cell_length_b 5.8981
_cell_length_c 5.5053
_cell_angle_alpha 90.00
_cell_angle_beta 90.00
_cell_angle_gamma 90.00
_space_group_name_H-M_alt 'P 4/m m m'
_space_group_IT_number 123
_space_group_name_Hall '-P 4 2'
loop_
_atom_site_label
_atom_site_type_symbol
_atom_site_fract_x
_atom_site_fract_y
_atom_site_fract_z
Sr1 Sr 0.0000 0.0000 0.0000
Ag1 Ag 0.0000 0.0000 0.5000
Sb1 Sb 0.0000 0.5000 0.0000
Mo1 Mo 0.5000 0.5000 0.5000
```

---

No. 3
For Pa3NbC4, a cell relaxed with PBE gives the theoretical powder diffractogram in this record (Cu Kα X-rays).
Intensities are scaled so that the largest is 1000.

Top 10 peaks for 2θ = 10–90°, by intensity:
index	Position (°2θ)	I/Imax
0 0 2	31.41	1000
2 0 -2	36.37	849
2 0 0	31.20	340
1 2 -3	52.51	296
1 2 3	62.47	250
3 2 -3	62.31	202
3 2 -1	52.19	201
2 0 4	85.89	108
3 2 1	62.15	102
2 4 -2	65.49	101

Cell and atoms:
```
data_Pa3NbC4
_chemical_formula_sum 'Pa6 Nb2 C8'
_cell_length_a 6.0823
_cell_length_b 6.9754
_cell_length_c 6.0322
_cell_angle_alpha 90.00
_cell_angle_beta 109.49
_cell_angle_gamma 90.00
_space_group_name_H-M_alt 'P 1 2/c 1'
_space_group_IT_number 13
loop_
_space_group_symop_operation_xyz
'x,y,z'
'-x,-y,-z'
'-x,y,-z+1/2'
'x,-y,z+1/2'
loop_
_atom_site_label
_atom_site_type_symbol
_atom_site_fract_x
_atom_site_fract_y
_atom_site_fract_z
Pa1 Pa 0.0000 0.1213 0.2500
Pa2 Pa 0.0000 0.3696 0.7500
Pa3 Pa 0.5000 0.3718 0.2500
Nb1 Nb 0.5000 0.1208 0.7500
C1 C 0.2624 0.3601 0.5149
C2 C 0.2698 0.1150 0.0022
```

---

No. 4
For TbDy12Er2, a cell relaxed with PBE gives the theoretical powder diffractogram in this record (Cu Kα X-rays).
Intensities are scaled so that the largest is 1000.

Top 10 peaks for 2θ = 10–90°, by intensity:
index	Position (°2θ)	I/Imax
0 1 7	30.49	1000
0 2 0	32.28	691
1 0 -6	32.63	522
1 1 -3	31.39	481
0 1 8	33.78	380
1 1 -4	32.75	333
2 2 -1	62.26	211
1 0 5	32.42	194
2 0 -1	51.68	185
0 3 7	56.45	183

Cell and atoms:
```
data_TbDy12Er2
_chemical_formula_sum 'Tb1 Dy12 Er2'
_cell_length_a 3.5373
_cell_length_b 5.5471
_cell_length_c 24.2276
_cell_angle_alpha 90.00
_cell_angle_beta 93.94
_cell_angle_gamma 90.00
_space_group_name_H-M_alt 'P 1 2/m 1'
_space_group_IT_number 10
loop_
_space_group_symop_operation_xyz
'x,y,z'
'-x,-y,-z'
'-x,y,-z'
'x,-y,z'
loop_
_atom_site_label
_atom_site_type_symbol
_atom_site_fract_x
_atom_site_fract_y
_atom_site_fract_z
Tb1 Tb 0.0000 0.0000 0.0000
Dy1 Dy 0.0715 0.0000 0.1377
Dy2 Dy 0.1008 0.5000 0.2015
Dy3 Dy 0.1669 0.5000 0.3295
Dy4 Dy 0.2157 0.0000 0.4246
Dy5 Dy 0.2749 0.5000 0.5554
Dy6 Dy 0.4614 0.5000 0.9262
Er1 Er 0.3635 0.0000 0.7287
```

---

No. 5
For La6In2Pb, a cell relaxed with PBE gives the theoretical powder diffractogram in this record (Cu Kα X-rays).
Intensities are scaled so that the largest is 1000.

Top 10 peaks for 2θ = 10–90°, by intensity:
index	Position (°2θ)	I/Imax
3 0 1	31.48	1000
1 3 1	31.82	518
4 3 0	45.37	192
2 3 1	35.61	145
1 3 0	27.56	139
2 6 0	56.90	135
4 3 2	56.24	134
3 0 3	56.10	129
1 3 2	42.36	88
5 6 1	75.39	84

Cell and atoms:
```
data_La6In2Pb
_chemical_formula_sum 'La12 In4 Pb2'
_cell_length_a 9.8585
_cell_length_b 10.2809
_cell_length_c 5.6743
_cell_angle_alpha 90.00
_cell_angle_beta 90.00
_cell_angle_gamma 90.00
_space_group_name_H-M_alt 'P n n m'
_space_group_IT_number 58
loop_
_space_group_symop_operation_xyz
'x,y,z'
'-x,-y,-z'
'-x,-y,z'
'x,y,-z'
'x+1/2,-y+1/2,-z+1/2'
'-x+1/2,y+1/2,z+1/2'
'-x+1/2,y+1/2,-z+1/2'
'x+1/2,-y+1/2,z+1/2'
loop_
_atom_site_label
_atom_site_type_symbol
_atom_site_fract_x
_atom_site_fract_y
_atom_site_fract_z
La1 La 0.0023 0.1829 0.0000
La2 La 0.1661 0.5982 0.5000
La3 La 0.1689 0.8961 0.5000
In1 In 0.1700 0.2467 0.5000
Pb1 Pb 0.0000 0.5000 0.0000
```

---

No. 6
For La14CePm, a cell relaxed with PBE gives the theoretical powder diffractogram in this record (Cu Kα X-rays).
Intensities are scaled so that the largest is 1000.

Top 10 peaks for 2θ = 10–90°, by intensity:
index	Position (°2θ)	I/Imax
2 2 2	29.55	1000
0 4 0	34.26	506
2 6 2	58.47	429
0 4 4	49.23	361
2 6 6	79.86	172
0 4 8	82.37	133
4 4 4	61.34	123
0 0 8	72.15	38
0 8 4	82.43	27
0 8 0	72.23	19

Cell and atoms:
```
data_La14CePm
_chemical_formula_sum 'La28 Ce2 Pm2'
_cell_length_a 10.4775
_cell_length_b 10.4633
_cell_length_c 10.4701
_cell_angle_alpha 90.00
_cell_angle_beta 90.00
_cell_angle_gamma 90.00
_space_group_name_H-M_alt 'A m m 2'
_space_group_IT_number 38
loop_
_space_group_symop_operation_xyz
'x,y,z'
'-x,-y,z'
'-x,y,z'
'x,-y,z'
'x,y+1/2,z+1/2'
'-x,-y+1/2,z+1/2'
'-x,y+1/2,z+1/2'
'x,-y+1/2,z+1/2'
loop_
_atom_site_label
_atom_site_type_symbol
_atom_site_fract_x
_atom_site_fract_y
_atom_site_fract_z
La1 La 0.0000 0.0000 0.0000
La2 La 0.0000 0.0000 0.4995
La3 La 0.0000 0.2489 0.7499
La4 La 0.2535 0.0000 0.2541
La5 La 0.2544 0.2454 0.4997
La6 La 0.2553 0.0000 0.7449
La7 La 0.5000 0.2487 0.2497
Ce1 Ce 0.5000 0.0000 0.4999
Pm1 Pm 0.5000 0.0000 0.9994
```

---

No. 7
For Pm6Rh3C, a cell relaxed with PBE gives the theoretical powder diffractogram in this record (Cu Kα X-rays).
Intensities are scaled so that the largest is 1000.

Top 10 peaks for 2θ = 10–90°, by intensity:
index	Position (°2θ)	I/Imax
2 1 -2	28.92	1000
1 0 -4	30.04	931
2 1 -3	30.46	694
1 0 2	29.48	684
1 2 1	32.63	493
1 1 -4	32.46	412
1 3 -1	38.80	409
3 1 -1	45.18	355
0 0 4	35.83	316
0 2 3	36.19	282

Cell and atoms:
```
data_Pm6Rh3C
_chemical_formula_sum 'Pm12 Rh6 C2'
_cell_length_a 6.8018
_cell_length_b 7.4090
_cell_length_c 11.9836
_cell_angle_alpha 90.00
_cell_angle_beta 123.17
_cell_angle_gamma 90.00
_space_group_name_H-M_alt 'P 1 21/c 1'
_space_group_IT_number 14
loop_
_space_group_symop_operation_xyz
'x,y,z'
'-x,-y,-z'
'-x,y+1/2,-z+1/2'
'x,-y+1/2,z+1/2'
loop_
_atom_site_label
_atom_site_type_symbol
_atom_site_fract_x
_atom_site_fract_y
_atom_site_fract_z
Pm1 Pm 0.0938 0.0506 0.2366
Pm2 Pm 0.2352 0.6917 0.0735
Pm3 Pm 0.3729 0.1660 0.0631
Rh1 Rh 0.3031 0.1042 0.7670
Rh2 Rh 0.5000 0.0000 0.5000
C1 C 0.0000 0.0000 0.0000
```

---

No. 8
For Pr5Si6, a cell relaxed with PBE gives the theoretical powder diffractogram in this record (Cu Kα X-rays).
Intensities are scaled so that the largest is 1000.

Top 10 peaks for 2θ = 10–90°, by intensity:
index	Position (°2θ)	I/Imax
1 3 1	31.46	1000
1 5 0	27.19	637
0 8 1	31.59	617
0 2 1	20.67	282
0 10 0	30.65	281
0 0 2	40.10	270
1 5 2	49.13	258
2 8 1	56.67	232
1 13 1	50.98	218
1 7 1	37.14	217

Cell and atoms:
```
data_Pr5Si6
_chemical_formula_sum 'Pr10 Si12'
_cell_length_a 3.9648
_cell_length_b 29.1728
_cell_length_c 4.4972
_cell_angle_alpha 90.00
_cell_angle_beta 90.00
_cell_angle_gamma 90.00
_space_group_name_H-M_alt 'C m m m'
_space_group_IT_number 65
_space_group_name_Hall '-C 2 2'
loop_
_atom_site_label
_atom_site_type_symbol
_atom_site_fract_x
_atom_site_fract_y
_atom_site_fract_z
Pr1 Pr 0.0000 0.0000 0.0000
Pr2 Pr 0.0000 0.1963 0.5000
Pr3 Pr 0.0000 0.3875 0.0000
Si1 Si 0.0000 0.0899 0.5000
Si2 Si 0.0000 0.2767 0.0000
Si3 Si 0.0000 0.4594 0.5000
```